Entry 1:
Diffraction record for WSe2S2Br. The PXRD pattern is computed, not measured: it uses a structure optimized by DFT (GGA-PBE) and Cu Kα (weighted mean of Kα1 and Kα2).
No peak broadening, texture or thermal motion is included.

Crystal structure
```
data_WSe2S2Br
_space_group_name_H-M_alt 'P -1'
_space_group_IT_number 2
_cell_length_a 6.2851
_cell_length_b 7.9840
_cell_length_c 8.0028
_cell_angle_alpha 61.17
_cell_angle_beta 66.89
_cell_angle_gamma 83.47
loop_
_space_group_symop_operation_xyz
'x,y,z'
'-x,-y,-z'
loop_
_atom_site_label
_atom_site_type_symbol
_atom_site_fract_x
_atom_site_fract_y
_atom_site_fract_z
_atom_site_occupancy
W1 W 0.2231 0.9996 0.0002 1
Se1 Se 0.3804 0.7929 0.2996 1
Se2 Se 0.4626 0.2506 0.0021 1
S1 S 0.0215 0.2845 0.8763 1
S2 S 0.1181 0.9106 0.7890 1
Br1 Br 0.2660 0.2314 0.4019 1
```

Main lines, by intensity (10° ≤ 2θ ≤ 90°):
12.7°, intensity 100
13.7°, intensity 64
13.5°, intensity 63
41.3°, intensity 23
36.1°, intensity 20
34.6°, intensity 18
47.1°, intensity 18
24.2°, intensity 16
52.6°, intensity 12
22.5°, intensity 12

Entry 2:
Diffraction record for HoRe2O4. The PXRD pattern is computed, not measured: it uses a structure optimized by DFT (GGA-PBE) and Cu Kα (weighted mean of Kα1 and Kα2).
No peak broadening, texture or thermal motion is included.

Crystal structure
Cell lengths 8.9730, 8.9730, 8.9730 Å; angles 90.00, 90.00, 90.00 degrees
Space group Fd-3m (No. 227, origin choice 2)
One atom of each set of equivalent atoms:
Ho  0.1250  0.1250  0.1250 [8 per cell]
Re  0.0000  0.0000  0.5000 [16 per cell]
O  0.0129  0.0129  0.7371 [32 per cell]

Main lines, by intensity (10° ≤ 2θ ≤ 90°):
33.1°, intensity 100
58.2°, intensity 39
53.0°, intensity 38
34.6°, intensity 31
28.1°, intensity 24
82.6°, intensity 22
69.5°, intensity 15
68.6°, intensity 13
40.2°, intensity 12
17.1°, intensity 11

Entry 3:
Diffraction record for Cu2Ag7. The PXRD pattern is computed, not measured: it uses a structure optimized by DFT (GGA-PBE) and Cu Kα (weighted mean of Kα1 and Kα2).
No peak broadening, texture or thermal motion is included.

Crystal structure
```
data_Cu2Ag7
_space_group_name_H-M_alt 'F m m m'
_space_group_IT_number 69
_space_group_name_Hall '-F 2 2'
_cell_length_a 4.0638
_cell_length_b 12.0609
_cell_length_c 12.2670
_cell_angle_alpha 90.00
_cell_angle_beta 90.00
_cell_angle_gamma 90.00
loop_
_atom_site_label
_atom_site_type_symbol
_atom_site_fract_x
_atom_site_fract_y
_atom_site_fract_z
_atom_site_occupancy
Cu1 Cu 0.0000 0.0000 0.1705 1
Ag1 Ag 0.0000 0.0000 0.5000 1
Ag2 Ag 0.0000 0.1598 0.3309 1
Ag3 Ag 0.0000 0.1639 0.0000 1
```

Main lines, by intensity (10° ≤ 2θ ≤ 90°):
38.4°, intensity 100
44.3°, intensity 16
44.6°, intensity 16
45.1°, intensity 15
78.0°, intensity 11
77.6°, intensity 11
78.8°, intensity 10
64.7°, intensity 10
82.3°, intensity 10
65.1°, intensity 9

Entry 4:
Diffraction record for La2Ho2CBr5. The PXRD pattern is computed, not measured: it uses a structure optimized by DFT (GGA-PBE) and Cu Kα (weighted mean of Kα1 and Kα2).
No peak broadening, texture or thermal motion is included.

Crystal structure
```
data_La2Ho2CBr5
_space_group_name_H-M_alt 'C 1 2/m 1'
_space_group_IT_number 12
_cell_length_a 18.1305
_cell_length_b 3.8623
_cell_length_c 8.2519
_cell_angle_alpha 90.00
_cell_angle_beta 103.89
_cell_angle_gamma 90.00
loop_
_space_group_symop_operation_xyz
'x,y,z'
'-x,-y,-z'
'-x,y,-z'
'x,-y,z'
'x+1/2,y+1/2,z'
'-x+1/2,-y+1/2,-z'
'-x+1/2,y+1/2,-z'
'x+1/2,-y+1/2,z'
loop_
_atom_site_label
_atom_site_type_symbol
_atom_site_fract_x
_atom_site_fract_y
_atom_site_fract_z
_atom_site_occupancy
La1 La 0.1470 0.0000 0.0790 1
Ho1 Ho 0.9996 0.5000 0.1983 1
C1 C 0.0000 0.0000 0.0000 1
Br1 Br 0.0000 0.0000 0.5000 1
Br2 Br 0.1584 0.5000 0.3614 1
Br3 Br 0.1634 0.5000 0.8037 1
```

Main lines, by intensity (10° ≤ 2θ ≤ 90°):
31.7°, intensity 100
30.5°, intensity 57
11.0°, intensity 34
44.8°, intensity 33
10.1°, intensity 33
44.4°, intensity 31
31.2°, intensity 29
28.4°, intensity 26
37.5°, intensity 21
47.1°, intensity 20

Entry 5:
Diffraction record for TbGd2Ta2N6. The PXRD pattern is computed, not measured: it uses a structure optimized by DFT (GGA-PBE) and Cu Kα (weighted mean of Kα1 and Kα2).
No peak broadening, texture or thermal motion is included.

Crystal structure
```
data_TbGd2Ta2N6
_space_group_name_H-M_alt 'I 4/m m m'
_space_group_IT_number 139
_space_group_name_Hall '-I 4 2'
_cell_length_a 4.0011
_cell_length_b 4.0011
_cell_length_c 19.0726
_cell_angle_alpha 90.00
_cell_angle_beta 90.00
_cell_angle_gamma 90.00
loop_
_atom_site_label
_atom_site_type_symbol
_atom_site_fract_x
_atom_site_fract_y
_atom_site_fract_z
_atom_site_occupancy
Tb1 Tb 0.0000 0.0000 0.0000 1
Gd1 Gd 0.0000 0.0000 0.1790 1
Ta1 Ta 0.0000 0.0000 0.3998 1
N1 N 0.0000 0.0000 0.2978 1
N2 N 0.0000 0.5000 0.0825 1
```

Main lines, by intensity (10° ≤ 2θ ≤ 90°):
32.4°, intensity 100
31.6°, intensity 63
56.8°, intensity 42
45.3°, intensity 30
58.3°, intensity 12
75.1°, intensity 11
66.0°, intensity 9
75.5°, intensity 9
67.9°, intensity 9
48.6°, intensity 9

Entry 6:
Diffraction record for Li4ZnInIr2. The PXRD pattern is computed, not measured: it uses a structure optimized by DFT (GGA-PBE) and Cu Kα (weighted mean of Kα1 and Kα2).
No peak broadening, texture or thermal motion is included.

Crystal structure
```
data_Li4ZnInIr2
_space_group_name_H-M_alt 'P -4 m 2'
_space_group_IT_number 115
_cell_length_a 4.3170
_cell_length_b 4.3170
_cell_length_c 6.1755
_cell_angle_alpha 90.00
_cell_angle_beta 90.00
_cell_angle_gamma 90.00
loop_
_space_group_symop_operation_xyz
'x,y,z'
'y,-x,-z'
'-x,-y,z'
'-y,x,-z'
'-x,y,z'
'-y,-x,-z'
'x,-y,z'
'y,x,-z'
loop_
_atom_site_label
_atom_site_type_symbol
_atom_site_fract_x
_atom_site_fract_y
_atom_site_fract_z
_atom_site_occupancy
Li1 Li 0.0000 0.0000 0.0000 1
Li2 Li 0.0000 0.5000 0.7296 1
Li3 Li 0.5000 0.5000 0.5000 1
Zn1 Zn 0.0000 0.0000 0.5000 1
In1 In 0.5000 0.5000 0.0000 1
Ir1 Ir 0.0000 0.5000 0.2659 1
```

Main lines, by intensity (10° ≤ 2θ ≤ 90°):
25.2°, intensity 100
41.6°, intensity 54
49.5°, intensity 33
41.9°, intensity 27
76.3°, intensity 18
49.0°, intensity 16
66.4°, intensity 13
60.7°, intensity 9
75.7°, intensity 8
82.0°, intensity 8

Entry 7:
Diffraction record for Cu7Ag2. The PXRD pattern is computed, not measured: it uses a structure optimized by DFT (GGA-PBE) and Cu Kα (weighted mean of Kα1 and Kα2).
No peak broadening, texture or thermal motion is included.

Crystal structure
```
data_Cu7Ag2
_space_group_name_H-M_alt 'F m m m'
_space_group_IT_number 69
_space_group_name_Hall '-F 2 2'
_cell_length_a 3.7625
_cell_length_b 11.0794
_cell_length_c 11.3739
_cell_angle_alpha 90.00
_cell_angle_beta 90.00
_cell_angle_gamma 90.00
loop_
_atom_site_label
_atom_site_type_symbol
_atom_site_fract_x
_atom_site_fract_y
_atom_site_fract_z
_atom_site_occupancy
Cu1 Cu 0.0000 0.0000 0.0000 1
Cu2 Cu 0.0000 0.1732 0.5000 1
Cu3 Cu 0.0000 0.1746 0.1645 1
Ag1 Ag 0.0000 0.0000 0.3389 1
```

Main lines, by intensity (10° ≤ 2θ ≤ 90°):
41.7°, intensity 100
48.4°, intensity 16
48.0°, intensity 16
49.4°, intensity 14
85.7°, intensity 11
85.1°, intensity 11
87.2°, intensity 10
70.5°, intensity 9
71.6°, intensity 9
71.3°, intensity 9

Entry 8:
Diffraction record for LuScSnC. The PXRD pattern is computed, not measured: it uses a structure optimized by DFT (GGA-PBE) and Cu Kα (weighted mean of Kα1 and Kα2).
No peak broadening, texture or thermal motion is included.

Crystal structure
```
data_LuScSnC
_space_group_name_H-M_alt 'P -3 m 1'
_space_group_IT_number 164
_space_group_name_Hall '-P 3 2"'
_cell_length_a 3.4562
_cell_length_b 3.4562
_cell_length_c 15.1902
_cell_angle_alpha 90.00
_cell_angle_beta 90.00
_cell_angle_gamma 120.00
loop_
_atom_site_label
_atom_site_type_symbol
_atom_site_fract_x
_atom_site_fract_y
_atom_site_fract_z
_atom_site_occupancy
Lu1 Lu 0.3333 0.6667 0.4144 1
Sc1 Sc 0.3333 0.6667 0.0789 1
Sn1 Sn 0.3333 0.6667 0.7567 1
C1 C 0.0000 0.0000 0.0000 1
C2 C 0.0000 0.0000 0.5000 1
```

Main lines, by intensity (10° ≤ 2θ ≤ 90°):
34.8°, intensity 100
29.9°, intensity 22
53.0°, intensity 21
65.4°, intensity 20
35.5°, intensity 19
63.3°, intensity 19
32.1°, intensity 17
65.0°, intensity 16
47.0°, intensity 16
88.6°, intensity 15

Entry 9:
Diffraction record for La3Mg3Pd2Au. The PXRD pattern is computed, not measured: it uses a structure optimized by DFT (GGA-PBE) and Cu Kα (weighted mean of Kα1 and Kα2).
No peak broadening, texture or thermal motion is included.

Crystal structure
```
data_La3Mg3Pd2Au
_space_group_name_H-M_alt 'A m m 2'
_space_group_IT_number 38
_cell_length_a 4.2221
_cell_length_b 13.4264
_cell_length_c 7.7501
_cell_angle_alpha 90.00
_cell_angle_beta 90.00
_cell_angle_gamma 90.00
loop_
_space_group_symop_operation_xyz
'x,y,z'
'-x,-y,z'
'-x,y,z'
'x,-y,z'
'x,y+1/2,z+1/2'
'-x,-y+1/2,z+1/2'
'-x,y+1/2,z+1/2'
'x,-y+1/2,z+1/2'
loop_
_atom_site_label
_atom_site_type_symbol
_atom_site_fract_x
_atom_site_fract_y
_atom_site_fract_z
_atom_site_occupancy
La1 La 0.0000 0.0000 0.0000 1
La2 La 0.0000 0.2086 0.6262 1
Mg1 Mg 0.5000 0.0000 0.6569 1
Mg2 Mg 0.5000 0.1206 0.2973 1
Pd1 Pd 0.5000 0.1656 0.9184 1
Au1 Au 0.0000 0.0000 0.4165 1
```

Main lines, by intensity (10° ≤ 2θ ≤ 90°):
34.1°, intensity 100
31.3°, intensity 40
22.9°, intensity 34
41.5°, intensity 31
26.6°, intensity 30
40.3°, intensity 27
64.4°, intensity 23
42.8°, intensity 20
24.9°, intensity 19
53.8°, intensity 18

Entry 10:
Diffraction record for DyY2Tm4Ni2Se2. The PXRD pattern is computed, not measured: it uses a structure optimized by DFT (GGA-PBE) and Cu Kα (weighted mean of Kα1 and Kα2).
No peak broadening, texture or thermal motion is included.

Crystal structure
```
data_DyY2Tm4Ni2Se2
_space_group_name_H-M_alt 'I m m 2'
_space_group_IT_number 44
_cell_length_a 3.7790
_cell_length_b 14.9594
_cell_length_c 9.2136
_cell_angle_alpha 90.00
_cell_angle_beta 90.00
_cell_angle_gamma 90.00
loop_
_space_group_symop_operation_xyz
'x,y,z'
'-x,-y,z'
'-x,y,z'
'x,-y,z'
'x+1/2,y+1/2,z+1/2'
'-x+1/2,-y+1/2,z+1/2'
'-x+1/2,y+1/2,z+1/2'
'x+1/2,-y+1/2,z+1/2'
loop_
_atom_site_label
_atom_site_type_symbol
_atom_site_fract_x
_atom_site_fract_y
_atom_site_fract_z
_atom_site_occupancy
Dy1 Dy 0.0000 0.0000 0.0000 1
Y1 Y 0.0000 0.3590 0.2565 1
Tm1 Tm 0.0000 0.1258 0.4115 1
Tm2 Tm 0.0000 0.3172 0.6168 1
Ni1 Ni 0.0000 0.2405 0.9258 1
Se1 Se 0.0000 0.0000 0.6574 1
Se2 Se 0.0000 0.5000 0.7588 1
```

Main lines, by intensity (10° ≤ 2θ ≤ 90°):
35.1°, intensity 100
34.3°, intensity 66
35.6°, intensity 65
31.2°, intensity 58
29.7°, intensity 41
31.4°, intensity 37
48.2°, intensity 30
60.4°, intensity 26
39.7°, intensity 21
53.1°, intensity 20

Entry 11:
Diffraction record for La3Sn3IrPt2. The PXRD pattern is computed, not measured: it uses a structure optimized by DFT (GGA-PBE) and Cu Kα (weighted mean of Kα1 and Kα2).
No peak broadening, texture or thermal motion is included.

Crystal structure
```
data_La3Sn3IrPt2
_space_group_name_H-M_alt 'P -6 2 m'
_space_group_IT_number 189
_space_group_name_Hall 'P -6 -2'
_cell_length_a 7.6589
_cell_length_b 7.6589
_cell_length_c 4.2087
_cell_angle_alpha 90.00
_cell_angle_beta 90.00
_cell_angle_gamma 120.00
loop_
_atom_site_label
_atom_site_type_symbol
_atom_site_fract_x
_atom_site_fract_y
_atom_site_fract_z
_atom_site_occupancy
La1 La 0.0000 0.4141 0.0000 1
Sn1 Sn 0.0000 0.7551 0.5000 1
Ir1 Ir 0.0000 0.0000 0.0000 1
Pt1 Pt 0.3333 0.6667 0.5000 1
```

Main lines, by intensity (10° ≤ 2θ ≤ 90°):
34.4°, intensity 100
31.6°, intensity 66
41.9°, intensity 44
40.8°, intensity 36
35.8°, intensity 34
65.2°, intensity 30
43.0°, intensity 28
60.8°, intensity 23
23.2°, intensity 19
57.1°, intensity 18

Entry 12:
Diffraction record for Pr2Gd2CI5. The PXRD pattern is computed, not measured: it uses a structure optimized by DFT (GGA-PBE) and Cu Kα (weighted mean of Kα1 and Kα2).
No peak broadening, texture or thermal motion is included.

Crystal structure
```
data_Pr2Gd2CI5
_space_group_name_H-M_alt 'C 1 2/m 1'
_space_group_IT_number 12
_cell_length_a 19.1766
_cell_length_b 4.0396
_cell_length_c 8.8049
_cell_angle_alpha 90.00
_cell_angle_beta 103.07
_cell_angle_gamma 90.00
loop_
_space_group_symop_operation_xyz
'x,y,z'
'-x,-y,-z'
'-x,y,-z'
'x,-y,z'
'x+1/2,y+1/2,z'
'-x+1/2,-y+1/2,-z'
'-x+1/2,y+1/2,-z'
'x+1/2,-y+1/2,z'
loop_
_atom_site_label
_atom_site_type_symbol
_atom_site_fract_x
_atom_site_fract_y
_atom_site_fract_z
_atom_site_occupancy
Pr1 Pr 0.1364 0.0000 0.0686 1
Gd1 Gd 0.0007 0.5000 0.8108 1
C1 C 0.0000 0.0000 0.0000 1
I1 I 0.0000 0.0000 0.5000 1
I2 I 0.1619 0.5000 0.3519 1
I3 I 0.1670 0.5000 0.8099 1
```

Main lines, by intensity (10° ≤ 2θ ≤ 90°):
30.0°, intensity 100
28.7°, intensity 50
41.9°, intensity 29
32.6°, intensity 29
42.0°, intensity 28
29.5°, intensity 25
27.1°, intensity 21
44.9°, intensity 20
10.3°, intensity 19
34.8°, intensity 19

Entry 13:
Diffraction record for ZrPb. The PXRD pattern is computed, not measured: it uses a structure optimized by DFT (GGA-PBE) and Cu Kα (weighted mean of Kα1 and Kα2).
No peak broadening, texture or thermal motion is included.

Crystal structure
```
data_ZrPb
_space_group_name_H-M_alt 'P 1 21/m 1'
_space_group_IT_number 11
_cell_length_a 7.0555
_cell_length_b 5.3105
_cell_length_c 8.1386
_cell_angle_alpha 90.00
_cell_angle_beta 102.88
_cell_angle_gamma 90.00
loop_
_space_group_symop_operation_xyz
'x,y,z'
'-x,-y,-z'
'-x,y+1/2,-z'
'x,-y+1/2,z'
loop_
_atom_site_label
_atom_site_type_symbol
_atom_site_fract_x
_atom_site_fract_y
_atom_site_fract_z
_atom_site_occupancy
Zr1 Zr 0.0347 0.2500 0.1281 1
Zr2 Zr 0.1259 0.7500 0.5376 1
Zr3 Zr 0.3630 0.2500 0.4841 1
Pb1 Pb 0.1795 0.2500 0.7962 1
Pb2 Pb 0.2801 0.7500 0.2149 1
Pb3 Pb 0.4663 0.7500 0.8354 1
```

Main lines, by intensity (10° ≤ 2θ ≤ 90°):
35.0°, intensity 100
34.8°, intensity 96
33.8°, intensity 62
33.9°, intensity 39
48.6°, intensity 29
61.1°, intensity 26
38.0°, intensity 23
61.2°, intensity 20
63.3°, intensity 17
22.4°, intensity 16

Entry 14:
Diffraction record for Cu2Ag. The PXRD pattern is computed, not measured: it uses a structure optimized by DFT (GGA-PBE) and Cu Kα (weighted mean of Kα1 and Kα2).
No peak broadening, texture or thermal motion is included.

Crystal structure
```
data_Cu2Ag
_space_group_name_H-M_alt 'I m m 2'
_space_group_IT_number 44
_cell_length_a 3.8119
_cell_length_b 8.1055
_cell_length_c 8.1065
_cell_angle_alpha 90.00
_cell_angle_beta 90.00
_cell_angle_gamma 90.00
loop_
_space_group_symop_operation_xyz
'x,y,z'
'-x,-y,z'
'-x,y,z'
'x,-y,z'
'x+1/2,y+1/2,z+1/2'
'-x+1/2,-y+1/2,z+1/2'
'-x+1/2,y+1/2,z+1/2'
'x+1/2,-y+1/2,z+1/2'
loop_
_atom_site_label
_atom_site_type_symbol
_atom_site_fract_x
_atom_site_fract_y
_atom_site_fract_z
_atom_site_occupancy
Cu1 Cu 0.0000 0.0000 0.0000 1
Cu2 Cu 0.0000 0.0000 0.3099 1
Cu3 Cu 0.0000 0.3346 0.9806 1
Cu4 Cu 0.0000 0.3451 0.6528 1
Ag1 Ag 0.0000 0.0000 0.6394 1
Ag2 Ag 0.0000 0.3243 0.3236 1
```

Main lines, by intensity (10° ≤ 2θ ≤ 90°):
40.9°, intensity 100
47.6°, intensity 31
84.0°, intensity 20
69.7°, intensity 18
47.7°, intensity 16
84.2°, intensity 11
88.8°, intensity 9
69.6°, intensity 9
34.1°, intensity 5
31.2°, intensity 4